Calculated X-ray diffraction stick pattern of Sr4CdRh2 for copper Kα, from a crystal structure in Alexandria, relaxed with GGA-PBE.
Lines closer than 0.1° are merged.

Structural model:
```
Sr4CdRh2
1.0
6.203 -4.566 0.000
6.203 4.566 0.000
-2.939 0.000 8.137
Sr Cd Rh
8 2 4
Cartesian
0.000 0.000 0.000
3.015 2.555 1.282
-1.504 0.000 4.316
1.727 2.463 5.385
6.369 0.000 0.178
4.990 0.000 4.277
3.015 -2.555 1.282
1.727 -2.463 5.385
1.616 0.000 3.010
0.182 0.000 7.167
4.911 2.314 6.602
6.188 0.000 7.037
7.985 0.000 3.133
4.911 -2.314 6.602
```

Main lines, by angle (15° ≤ 2θ ≤ 90°):
| 2θ/deg | I (rel.) |
| --- | --- |
| 15.2 | 51 |
| 29.4 | 100 |
| 29.5 | 98 |
| 30.8 | 45 |
| 36.6 | 60 |
| 36.7 | 75 |
| 36.9 | 77 |
| 39.5 | 58 |
| 41.8 | 52 |
| 51.1 | 47 |



Calculated X-ray diffraction stick pattern of Sr3Cd3Rh for copper Kα, from a crystal structure in Alexandria, relaxed with GGA-PBE.
Lines closer than 0.1° are merged.

Structural model:
```
Sr3Cd3Rh
1.0
6.003 -2.186 0.000
6.003 2.186 0.000
-4.530 0.000 16.505
Sr Cd Rh
6 6 2
Cartesian
-1.517 0.000 6.443
-2.835 0.000 15.187
1.826 0.000 4.148
5.650 0.000 12.357
10.311 0.000 1.318
8.993 0.000 10.062
1.763 0.000 7.650
0.557 0.000 15.188
2.170 0.000 12.609
5.305 0.000 3.896
6.919 0.000 1.317
5.713 0.000 8.855
0.653 0.000 10.316
6.822 0.000 6.189
```

Main lines, by angle (15° ≤ 2θ ≤ 90°):
| 2θ/deg | I (rel.) |
| --- | --- |
| 28.4 | 59 |
| 29.3 | 96 |
| 30.3 | 100 |
| 32.5 | 47 |
| 34.1 | 46 |
| 34.8 | 100 |
| 35.4 | 79 |
| 41.3 | 91 |
| 55.5 | 42 |
| 57.8 | 39 |



Repeat the first record exactly.
Calculated X-ray diffraction stick pattern of Sr4CdRh2 for copper Kα, from a crystal structure in Alexandria, relaxed with GGA-PBE.
Lines closer than 0.1° are merged.

Structural model:
```
Sr4CdRh2
1.0
6.203 -4.566 0.000
6.203 4.566 0.000
-2.939 0.000 8.137
Sr Cd Rh
8 2 4
Cartesian
0.000 0.000 0.000
3.015 2.555 1.282
-1.504 0.000 4.316
1.727 2.463 5.385
6.369 0.000 0.178
4.990 0.000 4.277
3.015 -2.555 1.282
1.727 -2.463 5.385
1.616 0.000 3.010
0.182 0.000 7.167
4.911 2.314 6.602
6.188 0.000 7.037
7.985 0.000 3.133
4.911 -2.314 6.602
```

Main lines, by angle (15° ≤ 2θ ≤ 90°):
| 2θ/deg | I (rel.) |
| --- | --- |
| 15.2 | 51 |
| 29.4 | 100 |
| 29.5 | 98 |
| 30.8 | 45 |
| 36.6 | 60 |
| 36.7 | 75 |
| 36.9 | 77 |
| 39.5 | 58 |
| 41.8 | 52 |
| 51.1 | 47 |